For K2MnSO4F3, a DFT-relaxed cell (PBE+U, the Materials Project) gives the simulated X-ray powder pattern in this record (Cu Kα).

Principal peaks in the range 5° ≤ 2θ ≤ 70°, by angle:
index  2theta  I_rel
1 1 0  13.1  57
2 0 0  16.1  36
1 1 1  17.7  23
3 1 0  26.5  25
1 1 2  27.3  72
2 2 1  29.1  100
0 2 2  31.9  43
1 3 0  32.5  28
1 2 3  42.9  21
7 1 0  59.9  14

Structure:
Unit cell a=10.9879 b=8.5306 c=7.4596 alpha=90.00 beta=90.00 gamma=90.00
Space group Pbcn (No. 60)
One atom of each set of equivalent atoms:
K 0.1910 0.1697 0.1882
Mn 0.0000 0.5000 0.0000
S 0.0000 0.1924 0.7500
O 0.0609 0.2974 0.6114
O 0.0964 0.0986 0.8336
F 0.0000 0.3822 0.2500
F 0.1629 0.4419 0.9753

For K2MnSO4F3, a DFT-relaxed cell (PBE+U, the Materials Project) gives the simulated X-ray powder pattern in this record (Cu Kα).

Principal peaks in the range 5° ≤ 2θ ≤ 70°, by angle:
index  2theta  I_rel
0 1 1  13.0  100
0 2 0  16.1  65
2 1 -1  27.1  73
2 1 1  27.9  58
1 2 -2  28.6  59
1 3 -1  28.9  37
1 2 2  29.3  96
2 0 -2  31.2  39
0 1 3  32.2  58
2 0 2  32.6  44

Structure:
Unit cell a=7.4024 b=11.0229 c=8.6166 alpha=90.00 beta=92.42 gamma=90.00
Space group P2_1/c (No. 14)
One atom of each set of equivalent atoms:
K 0.1837 0.1930 0.3351
K 0.3123 0.6926 0.8327
Mn 0.0000 0.0000 0.0000
Mn 0.5000 0.0000 0.0000
S 0.2523 0.0004 0.6887
O 0.1141 0.0612 0.7848
O 0.1715 0.5996 0.0969
O 0.3412 0.0920 0.5945
O 0.3940 0.5599 0.3004
F 0.0231 0.6630 0.4463
F 0.2372 0.9995 0.1103
F 0.4772 0.1631 0.9388

For KRb2MnF6, a DFT-relaxed cell (PBE+U, the Materials Project) gives the simulated X-ray powder pattern in this record (Cu Kα).

Principal peaks in the range 5° ≤ 2θ ≤ 70°, by angle:
index  2theta  I_rel
1 1 2  27.7  100
2 0 0  28.3  48
2 0 2  34.3  35
0 0 4  38.6  26
2 2 0  40.5  43
2 0 4  48.5  20
3 1 2  49.8  34
2 2 4  57.2  27
4 0 0  58.6  12
1 1 6  63.3  10

Structure:
Unit cell a=6.2972 b=6.2972 c=9.3409 alpha=90.00 beta=90.00 gamma=90.00
Space group I4/mmm (No. 139)
One atom of each set of equivalent atoms:
K 0.0000 0.0000 0.0000
Rb 0.0000 0.5000 0.2500
Mn 0.0000 0.0000 0.5000
F 0.0000 0.0000 0.2736
F 0.2145 0.2145 0.5000